Simulated XRD peak list of Ac3WO7 for a wavelength of 1.5418 Å, from DFT lattice parameters and positions (GGA+U).

```
Ac3WO7
1.0
4.0098 -5.7084 0.0000
4.0098 5.7084 0.0000
0.0000 0.0000 8.0682
Ac W O
6 2 14
Direct
0.0008 0.0008 0.0000
0.0307 0.4995 0.2503
0.4995 0.0307 0.7497
0.5005 0.9693 0.2497
0.9693 0.5005 0.7503
0.9992 0.9992 0.5000
0.4999 0.4999 0.0000
0.5001 0.5001 0.5000
0.1295 0.8705 0.7500
0.1323 0.8677 0.2500
0.1956 0.4313 0.9755
0.1962 0.4321 0.5249
0.4313 0.1956 0.0245
0.4321 0.1962 0.4751
0.4458 0.5542 0.2500
0.5542 0.4458 0.7500
0.5679 0.8038 0.9751
0.5687 0.8044 0.5245
0.8038 0.5679 0.0249
0.8044 0.5687 0.4755
0.8677 0.1323 0.7500
0.8705 0.1295 0.2500
```

Main lines, in order of falling intensity (10 to 80 degrees two-theta):
- 27.18°, d 3.281, rel. 100
- 27.07°, d 3.294, rel. 100
- 44.99°, d 2.015, rel. 74
- 53.29°, d 1.719, rel. 59
- 31.46°, d 2.844, rel. 54
- 53.50°, d 1.713, rel. 29
- 31.34°, d 2.854, rel. 25
- 72.19°, d 1.309, rel. 18
- 45.23°, d 2.005, rel. 14
- 74.39°, d 1.275, rel. 13